CaMn2O5: calculated X-ray diffraction stick pattern (CuKα), based on a cell relaxed with PBE+U.

Peak list (10 most intense, 15 to 90 degrees two-theta, most intense first)
d/Å  2theta  I_rel  h k l
2.658  33.72  1000  0 0 4
3.822  23.27  613  0 1 2
1.911  47.59  313  0 2 4
5.316  16.68  262  0 0 2
3.699  24.06  244  1 0 0
5.498  16.12  230  0 1 0
2.749  32.57  222  0 2 0
1.849  49.27  217  2 0 0
1.535  60.32  198  2 2 0
1.329  70.92  184  2 2 4

Cell and atoms:
abc: 3.699 5.498 10.632
angles: 90.00 90.00 90.00
Fractional coordinates of all 16 atoms:
Ca 0.000 0.016 0.000
Ca 0.000 0.984 0.500
Mn 0.500 0.054 0.241
Mn 0.500 0.460 0.515
Mn 0.500 0.540 0.015
Mn 0.500 0.946 0.741
O 0.000 0.001 0.758
O 0.000 0.484 0.975
O 0.000 0.516 0.475
O 0.000 0.999 0.258
O 0.500 0.177 0.406
O 0.500 0.224 0.088
O 0.500 0.254 0.648
O 0.500 0.746 0.148
O 0.500 0.776 0.588
O 0.500 0.823 0.906